The following is a simulated X-ray powder pattern of Ba4MnBi3O12. It was derived from a structure optimized by DFT (PBE+U), using Cu Kα X-rays.
Lines closer than 0.1° are merged.

Crystal structure
Cell: 7.488 7.488 7.488 Å, 109.47 109.47 109.47°
Fractional positions:
Ba (0.000, 0.000, 0.500)
Ba (0.000, 0.500, 0.000)
Ba (0.500, 0.000, 0.000)
Ba (0.500, 0.500, 0.500)
Mn (0.000, 0.000, 0.000)
Bi (0.000, 0.500, 0.500)
Bi (0.500, 0.000, 0.500)
Bi (0.500, 0.500, 0.000)
O (0.000, 0.249, 0.249)
O (0.000, 0.751, 0.751)
O (0.249, 0.000, 0.249)
O (0.249, 0.249, 0.000)
O (0.250, 0.500, 0.750)
O (0.250, 0.750, 0.500)
O (0.500, 0.250, 0.750)
O (0.500, 0.750, 0.250)
O (0.750, 0.250, 0.500)
O (0.750, 0.500, 0.250)
O (0.751, 0.000, 0.751)
O (0.751, 0.751, 0.000)

The 12 most intense peaks (2θ from 10° to 90°), sorted by position:
d_spacing  intensity
6.114  8.4
4.323  4.3
3.530  4.9
3.057  100.0
2.734  2.6
2.311  3.4
2.162  28.8
1.765  41.9
1.528  18.5
1.367  18.5
1.248  6.2
1.155  22.5